# 1
Simulated powder X-ray diffraction pattern of Na3Ni2P2C2O14 for Cu Kα X-rays, from a structure optimized by DFT (PBE+U).
Peak positions follow from Bragg's law for the DFT cell and can differ from measured ones.

Main lines, by angle (2θ from 10° to 90°):
16.82 deg, d = 5.270 Å, intensity 100; 19.61 deg, d = 4.528 Å, intensity 36; 20.06 deg, d = 4.426 Å, intensity 47; 22.01 deg, d = 4.038 Å, intensity 56; 24.34 deg, d = 3.657 Å, intensity 33; 25.88 deg, d = 3.443 Å, intensity 71; 27.48 deg, d = 3.246 Å, intensity 87; 34.00 deg, d = 2.637 Å, intensity 62; 34.26 deg, d = 2.618 Å, intensity 33; 34.78 deg, d = 2.579 Å, intensity 49; 37.68 deg, d = 2.387 Å, intensity 38; 56.74 deg, d = 1.622 Å, intensity 49

Unit cell a=10.271 b=6.493 c=10.322 alpha=90.00 beta=118.57 gamma=90.00
Space group Pc (No. 7)
Unique sites:
Na: 0.000 0.211 0.000 x2
Na: 0.502 0.265 0.508 x2
Na: 0.503 0.263 0.009 x2
Ni: 0.096 0.496 0.320 x2
Ni: 0.397 0.000 0.184 x2
P: 0.172 0.002 0.322 x2
P: 0.321 0.500 0.180 x2
C: 0.667 0.002 0.352 x2
C: 0.828 0.496 0.646 x2
O: 0.075 0.194 0.302 x2
O: 0.080 0.190 0.816 x2
O: 0.173 0.493 0.034 x2
O: 0.210 0.004 0.193 x2
O: 0.290 0.500 0.314 x2
O: 0.322 0.006 0.467 x2
O: 0.418 0.312 0.691 x2
O: 0.421 0.313 0.192 x2
O: 0.568 0.002 0.398 x2
O: 0.608 0.001 0.208 x2
O: 0.691 0.499 0.559 x2
O: 0.803 0.003 0.437 x2
O: 0.885 0.489 0.789 x2
O: 0.929 0.497 0.103 x2



# 2
Simulated powder X-ray diffraction pattern of Li3Co2Si2O8 for Cu Kα X-rays, from a structure optimized by DFT (PBE+U).
Peak positions follow from Bragg's law for the DFT cell and can differ from measured ones.

Main lines, by angle (2θ from 10° to 90°):
13.25 deg, d = 6.682 Å, intensity 100; 21.28 deg, d = 4.175 Å, intensity 80; 24.01 deg, d = 3.706 Å, intensity 16; 27.72 deg, d = 3.218 Å, intensity 12; 28.00 deg, d = 3.186 Å, intensity 55; 31.41 deg, d = 2.848 Å, intensity 14; 34.34 deg, d = 2.612 Å, intensity 70; 36.58 deg, d = 2.456 Å, intensity 12; 41.19 deg, d = 2.191 Å, intensity 17; 46.72 deg, d = 1.944 Å, intensity 15; 54.98 deg, d = 1.670 Å, intensity 16; 57.88 deg, d = 1.593 Å, intensity 15

Unit cell a=9.784 b=9.924 c=9.968 alpha=95.50 beta=116.09 gamma=115.98
Space group P1 (No. 1)
Unique sites:
Li: 0.000 0.000 0.000 x1
Li: 0.013 0.641 0.363 x1
Li: 0.141 0.524 0.646 x1
Li: 0.202 0.023 0.411 x1
Li: 0.253 0.328 0.931 x1
Li: 0.383 0.120 0.226 x1
Li: 0.491 0.971 0.507 x1
Li: 0.517 0.664 0.858 x1
Li: 0.628 0.519 0.139 x1
Li: 0.762 0.316 0.433 x1
Li: 0.816 0.605 0.971 x1
Li: 0.871 0.120 0.722 x1
Co: 0.001 0.222 0.278 x1
Co: 0.002 0.918 0.587 x1
Co: 0.006 0.722 0.777 x1
Co: 0.012 0.417 0.087 x1
Co: 0.503 0.222 0.775 x1
Co: 0.503 0.722 0.274 x1
Co: 0.508 0.923 0.083 x1
Co: 0.510 0.425 0.587 x1
Si: 0.179 0.787 0.146 x1
Si: 0.181 0.283 0.636 x1
Si: 0.323 0.854 0.713 x1
Si: 0.331 0.355 0.224 x1
Si: 0.682 0.287 0.141 x1
Si: 0.684 0.786 0.648 x1
Si: 0.832 0.361 0.726 x1
Si: 0.832 0.857 0.213 x1
O: 0.041 0.623 0.155 x1
O: 0.043 0.799 0.976 x1
O: 0.045 0.302 0.475 x1
O: 0.063 0.133 0.674 x1
O: 0.183 0.882 0.750 x1
O: 0.185 0.378 0.251 x1
O: 0.210 0.689 0.569 x1
O: 0.234 0.193 0.080 x1
O: 0.284 0.947 0.298 x1
O: 0.293 0.448 0.784 x1
O: 0.315 0.247 0.595 x1
O: 0.330 0.772 0.121 x1
O: 0.431 0.009 0.674 x1
O: 0.442 0.507 0.183 x1
O: 0.456 0.842 0.883 x1
O: 0.463 0.339 0.391 x1
O: 0.555 0.801 0.484 x1
O: 0.558 0.311 0.984 x1
O: 0.564 0.127 0.176 x1
O: 0.567 0.623 0.680 x1
O: 0.681 0.880 0.230 x1
O: 0.698 0.404 0.761 x1
O: 0.718 0.201 0.572 x1
O: 0.726 0.697 0.062 x1
O: 0.781 0.443 0.294 x1
O: 0.798 0.946 0.799 x1
O: 0.825 0.749 0.620 x1
O: 0.828 0.257 0.122 x1
O: 0.953 0.519 0.692 x1
O: 0.965 0.025 0.198 x1
O: 0.965 0.339 0.880 x1
O: 0.970 0.850 0.380 x1



- What is the formula in the second record?
  Li3Co2Si2O8